Diffraction record for Al10ZnO16. The powder diffraction line list is calculated, not measured: it uses a GGA-PBE-relaxed structure and Cu Kα.
Lines closer than 0.1° are merged.

Top 12 peaks for 10 to 90 degrees two-theta, by angle:
d = 2.858 Å, rel. 41; d = 2.815 Å, rel. 77; d = 2.435 Å, rel. 86; d = 2.422 Å, rel. 100; d = 2.396 Å, rel. 52; d = 2.005 Å, rel. 62; d = 1.642 Å, rel. 26; d = 1.552 Å, rel. 25; d = 1.545 Å, rel. 37; d = 1.534 Å, rel. 26; d = 1.429 Å, rel. 80; d = 1.407 Å, rel. 67

Cell lengths 9.7032, 9.7032, 9.7032 Å; angles 34.26, 34.26, 34.26 degrees
Element x y z (fractional)
Al1 0.0000 0.0000 0.0000
Al2 0.0552 0.5705 0.5705
Al3 0.0558 0.0558 0.5614
Al4 0.0558 0.5614 0.0558
Al5 0.1208 0.1208 0.1208
Al6 0.3095 0.3095 0.3095
Al7 0.5034 0.5034 0.5034
Al8 0.5614 0.0558 0.0558
Al9 0.5705 0.0552 0.5705
Al10 0.5705 0.5705 0.0552
Zn1 0.6213 0.6213 0.6213
O1 0.1865 0.1865 0.1865
O2 0.1881 0.6935 0.6935
O3 0.1996 0.1996 0.6619
O4 0.1996 0.6619 0.1996
O5 0.4115 0.4115 0.9751
O6 0.4115 0.9751 0.4115
O7 0.4297 0.9316 0.9316
O8 0.4344 0.4344 0.4344
O9 0.6619 0.1996 0.1996
O10 0.6935 0.1881 0.6935
O11 0.6935 0.6935 0.1881
O12 0.6944 0.6944 0.6944
O13 0.9316 0.4297 0.9316
O14 0.9316 0.9316 0.4297
O15 0.9334 0.9334 0.9334
O16 0.9751 0.4115 0.4115